Entry 1:
Diffraction record for RuPt4Se. The PXRD pattern is theoretical, not measured: it uses a DFT-relaxed cell (GGA-PBE, Alexandria) and Cu Ka.
Intensities are scaled so that the largest is 1000.

Most intense lines, 10 to 90 degrees two-theta, sorted by position:
hkl 1 1 1, 20.6°, I 433
hkl 3 1 1, 40.0°, I 1000
hkl 2 2 2, 41.9°, I 659
hkl 4 0 0, 48.7°, I 188
hkl 5 1 1, 64.8°, I 324
hkl 4 4 0, 71.4°, I 315
hkl 5 3 3, 85.1°, I 117
hkl 6 2 2, 86.4°, I 261

Atomic structure:
Lattice parameters (Å, degrees): 7.4730 7.4730 7.4730 90.00 90.00 90.00
Space group F-43m (No. 216)
Inequivalent atoms, fractional coordinates:
Ru: 0.0000 0.0000 0.0000 [4 per cell]
Pt: 0.1252 0.1252 0.6252 [16 per cell]
Se: 0.2500 0.2500 0.2500 [4 per cell]

=====

Entry 2:
Diffraction record for Sr6HgIr. The PXRD pattern is theoretical, not measured: it uses a DFT-relaxed cell (GGA-PBE, Alexandria) and Cu Ka.
Intensities are scaled so that the largest is 1000.

Most intense lines, 10 to 90 degrees two-theta, sorted by position:
hkl 1 0 1, 14.8°, I 449
hkl 1 0 2, 18.2°, I 934
hkl 1 1 2, 26.5°, I 935
hkl 2 0 2, 29.9°, I 268
hkl 2 -1 4, 34.2°, I 1000
hkl 3 -1 2, 38.4°, I 312
hkl 3 0 0, 41.3°, I 561
hkl 2 2 4, 54.7°, I 253

Atomic structure:
Lattice parameters (Å, degrees): 7.5719 7.5719 14.5449 90.00 90.00 120.00
Space group P-31c (No. 163)
Inequivalent atoms, fractional coordinates:
Sr: 0.0103 0.3209 0.1179 [12 per cell]
Hg: 0.3333 0.6667 0.7500 [2 per cell]
Ir: 0.0000 0.0000 0.0000 [2 per cell]

=====

Entry 3:
Diffraction record for Ac2In4NiSn2. The PXRD pattern is theoretical, not measured: it uses a DFT-relaxed cell (GGA-PBE, Alexandria) and Cu Ka.
Intensities are scaled so that the largest is 1000.

Most intense lines, 10 to 90 degrees two-theta, sorted by position:
hkl 2 0 2, 31.3°, I 1000
hkl 0 0 4, 35.6°, I 227
hkl 2 2 0, 36.6°, I 406
hkl 2 2 4, 51.9°, I 292
hkl 4 0 0, 52.7°, I 135
hkl 2 0 6, 61.2°, I 142
hkl 4 2 2, 62.5°, I 248
hkl 4 0 4, 65.2°, I 139

Atomic structure:
Lattice parameters (Å, degrees): 6.9487 6.9487 10.0958 90.00 90.00 90.00
Space group I4/mmm (No. 139)
Inequivalent atoms, fractional coordinates:
Ac: 0.0000 0.5000 0.2500 [4 per cell]
In: 0.2287 0.2287 0.0000 [8 per cell]
Ni: 0.0000 0.0000 0.5000 [2 per cell]
Sn: 0.0000 0.0000 0.2376 [4 per cell]

=====

Entry 4:
Diffraction record for Tb2Pm3Pr4. The PXRD pattern is theoretical, not measured: it uses a DFT-relaxed cell (GGA-PBE, Alexandria) and Cu Ka.
Intensities are scaled so that the largest is 1000.

Most intense lines, 10 to 90 degrees two-theta, sorted by position:
hkl 1 1 0, 29.9°, I 1000
hkl 2 -1 1, 34.7°, I 507
hkl 1 1 3, 49.8°, I 182
hkl 3 0 -2, 49.9°, I 181
hkl 3 0 1, 59.1°, I 145
hkl 2 2 -3, 59.2°, I 252
hkl 2 2 0, 62.1°, I 94
hkl 4 1 -2, 81.0°, I 74

Atomic structure:
Lattice parameters (Å, degrees): 6.3358 6.3377 9.6765 90.05 108.93 119.98
Space group P-1 (No. 2)
Inequivalent atoms, fractional coordinates:
Tb: 0.2241 0.2790 0.3349 [2 per cell]
Pm: 0.0000 0.5000 0.0000 [1 per cell]
Pm: 0.4448 0.0564 0.6651 [2 per cell]
Pr: 0.1107 0.3884 0.6654 [2 per cell]
Pr: 0.3317 0.1655 0.9999 [2 per cell]

=====

Entry 5:
Diffraction record for GaPHPtS. The PXRD pattern is theoretical, not measured: it uses a DFT-relaxed cell (GGA-PBE, Alexandria) and Cu Ka.
Intensities are scaled so that the largest is 1000.

Most intense lines, 10 to 90 degrees two-theta, sorted by position:
hkl 0 0 1, 12.1°, I 1000
hkl 0 0 2, 24.4°, I 172
hkl 1 0 0, 26.0°, I 178
hkl 1 1 1, 28.0°, I 203
hkl 0 1 -1, 29.3°, I 160
hkl 1 0 -1, 29.5°, I 156
hkl 1 2 0, 46.6°, I 143
hkl 2 1 1, 47.1°, I 137

Atomic structure:
Lattice parameters (Å, degrees): 3.9183 3.9193 7.3542 84.87 84.29 61.18
Space group P1 (No. 1)
Inequivalent atoms, fractional coordinates:
Ga: 0.0000 0.0000 0.0000 [1 per cell]
P: 0.6367 0.6464 0.2485 [1 per cell]
H: 0.2354 0.2236 0.6802 [1 per cell]
Pt: 0.3094 0.3162 0.1759 [1 per cell]
S: 0.0327 0.0211 0.6943 [1 per cell]

=====

Entry 6:
Diffraction record for TbPm4Th2. The PXRD pattern is theoretical, not measured: it uses a DFT-relaxed cell (GGA-PBE, Alexandria) and Cu Ka.
Intensities are scaled so that the largest is 1000.

Most intense lines, 10 to 90 degrees two-theta, sorted by position:
hkl 0 1 1, 21.3°, I 257
hkl 1 1 1, 26.5°, I 143
hkl 1 1 -2, 30.9°, I 1000
hkl 2 0 0, 31.1°, I 696
hkl 0 1 2, 31.4°, I 175
hkl -1 1 2, 35.0°, I 333
hkl 1 1 2, 35.2°, I 236
hkl 3 1 -2, 55.3°, I 199

Atomic structure:
Lattice parameters (Å, degrees): 5.7429 5.8391 7.3851 100.23 90.16 90.35
Space group P-1 (No. 2)
Inequivalent atoms, fractional coordinates:
Tb: 0.0000 0.0000 0.0000 [1 per cell]
Pm: 0.0014 0.5024 0.2715 [2 per cell]
Pm: 0.5003 0.1658 0.3302 [2 per cell]
Th: 0.0000 0.0000 0.5000 [1 per cell]
Th: 0.5000 0.5000 0.0000 [1 per cell]

=====

Entry 7:
Diffraction record for KPdBr2F. The PXRD pattern is theoretical, not measured: it uses a DFT-relaxed cell (GGA-PBE, Alexandria) and Cu Ka.
Intensities are scaled so that the largest is 1000.

Most intense lines, 10 to 90 degrees two-theta, sorted by position:
hkl 1 0 0, 16.7°, I 395
hkl 0 0 1, 20.7°, I 706
hkl 1 0 1, 26.7°, I 567
hkl 1 1 1, 31.7°, I 296
hkl 2 0 0, 33.9°, I 1000
hkl 2 0 1, 40.0°, I 513
hkl 2 2 0, 48.7°, I 343
hkl 2 0 2, 55.0°, I 467

Atomic structure:
Lattice parameters (Å, degrees): 5.2933 5.2933 4.2994 90.00 90.00 90.00
Space group P4/mmm (No. 123)
Inequivalent atoms, fractional coordinates:
K: 0.0000 0.0000 0.0000 [1 per cell]
Pd: 0.5000 0.5000 0.5000 [1 per cell]
Br: 0.0000 0.5000 0.5000 [2 per cell]
F: 0.5000 0.5000 0.0000 [1 per cell]

=====

Entry 8:
Diffraction record for Rb2PdI4. The PXRD pattern is theoretical, not measured: it uses a DFT-relaxed cell (GGA-PBE, Alexandria) and Cu Ka.
Intensities are scaled so that the largest is 1000.

Most intense lines, 10 to 90 degrees two-theta, sorted by position:
hkl 1 1 1, 14.0°, I 574
hkl 2 0 0, 17.9°, I 485
hkl 2 0 2, 23.5°, I 450
hkl 2 2 2, 28.1°, I 1000
hkl 0 0 4, 30.6°, I 372
hkl 0 4 0, 30.7°, I 370
hkl 4 0 0, 36.2°, I 260
hkl 4 4 0, 48.2°, I 277

Atomic structure:
Lattice parameters (Å, degrees): 9.9130 11.6395 11.7041 90.00 90.00 90.00
Space group Fmmm (No. 69)
Inequivalent atoms, fractional coordinates:
Rb: 0.2500 0.2500 0.2500 [8 per cell]
Pd: 0.0000 0.0000 0.0000 [4 per cell]
I: 0.0000 0.0000 0.2269 [8 per cell]
I: 0.0000 0.2281 0.0000 [8 per cell]

=====

Entry 9:
Diffraction record for Pr2Ga4Ni5. The PXRD pattern is theoretical, not measured: it uses a DFT-relaxed cell (GGA-PBE, Alexandria) and Cu Ka.
Intensities are scaled so that the largest is 1000.

Most intense lines, 10 to 90 degrees two-theta, sorted by position:
hkl 1 1 3, 26.3°, I 337
hkl 0 2 4, 31.0°, I 386
hkl 1 3 1, 33.7°, I 543
hkl 1 3 3, 38.0°, I 1000
hkl 2 2 0, 38.4°, I 585
hkl 2 0 4, 41.4°, I 845
hkl 0 0 8, 49.7°, I 312
hkl 4 0 0, 69.5°, I 374

Atomic structure:
Lattice parameters (Å, degrees): 5.4166 9.3670 14.6730 90.00 90.00 90.00
Space group Fmmm (No. 69)
Inequivalent atoms, fractional coordinates:
Pr: 0.0000 0.0000 0.1357 [8 per cell]
Ga: 0.0000 0.1599 0.3723 [16 per cell]
Ni: 0.0000 0.0000 0.5000 [4 per cell]
Ni: 0.2500 0.2500 0.0000 [8 per cell]
Ni: 0.2500 0.2500 0.2500 [8 per cell]

=====

Entry 10:
Diffraction record for Rb2NdGaI6. The PXRD pattern is theoretical, not measured: it uses a DFT-relaxed cell (GGA-PBE, Alexandria) and Cu Ka.
Intensities are scaled so that the largest is 1000.

Most intense lines, 10 to 90 degrees two-theta, sorted by position:
hkl 0 1 2, 14.2°, I 432
hkl 2 -1 3, 23.6°, I 1000
hkl 2 0 2, 24.7°, I 311
hkl 0 2 4, 28.5°, I 828
hkl 3 -1 1, 31.3°, I 234
hkl 2 -1 6, 31.8°, I 504
hkl 3 0 0, 35.3°, I 333
hkl 1 3 1, 43.0°, I 434

Atomic structure:
Lattice parameters (Å, degrees): 8.8042 8.8042 21.9069 90.00 90.00 120.00
Space group R3 (No. 146, hexagonal axes)
Inequivalent atoms, fractional coordinates:
Rb: 0.0000 0.0000 0.0000 [3 per cell]
Rb: 0.0000 0.0000 0.4936 [3 per cell]
Nd: 0.0000 0.0000 0.7129 [3 per cell]
Ga: 0.0000 0.0000 0.2166 [3 per cell]
I: 0.0062 0.4168 0.4584 [9 per cell]
I: 0.0856 0.7340 0.2938 [9 per cell]

=====

Entry 11:
Diffraction record for Y6CdRu2. The PXRD pattern is theoretical, not measured: it uses a DFT-relaxed cell (GGA-PBE, Alexandria) and Cu Ka.
Intensities are scaled so that the largest is 1000.

Most intense lines, 10 to 90 degrees two-theta, sorted by position:
hkl 2 2 2, 31.7°, I 962
hkl 2 1 3, 33.2°, I 593
hkl 1 3 2, 34.3°, I 1000
hkl 2 3 1, 35.1°, I 734
hkl 3 2 1, 35.2°, I 430
hkl 4 0 0, 38.1°, I 373
hkl 3 0 3, 38.5°, I 342
hkl 5 3 2, 59.6°, I 403

Atomic structure:
Lattice parameters (Å, degrees): 9.4359 9.5353 10.4934 90.00 90.00 90.00
Space group Immm (No. 71)
Inequivalent atoms, fractional coordinates:
Y: 0.0000 0.2016 0.2413 [8 per cell]
Y: 0.1858 0.5000 0.1719 [8 per cell]
Y: 0.2163 0.3171 0.5000 [8 per cell]
Cd: 0.0000 0.0000 0.0000 [2 per cell]
Cd: 0.0000 0.0000 0.5000 [2 per cell]
Ru: 0.0000 0.3236 0.0000 [4 per cell]
Ru: 0.0000 0.5000 0.3756 [4 per cell]

=====

Entry 12:
Diffraction record for Tm4FeBi2. The PXRD pattern is theoretical, not measured: it uses a DFT-relaxed cell (GGA-PBE, Alexandria) and Cu Ka.
Intensities are scaled so that the largest is 1000.

Most intense lines, 10 to 90 degrees two-theta, sorted by position:
hkl 2 1 1, 31.9°, I 1000
hkl 1 4 0, 32.2°, I 564
hkl 1 3 1, 33.0°, I 625
hkl 2 2 1, 34.5°, I 257
hkl 3 2 0, 37.5°, I 305
hkl 0 0 2, 42.5°, I 323
hkl 1 5 1, 45.3°, I 235
hkl 1 4 2, 54.4°, I 261

Atomic structure:
Lattice parameters (Å, degrees): 7.8735 11.8678 4.2494 90.00 90.00 90.00
Space group Pbam (No. 55)
Inequivalent atoms, fractional coordinates:
Tm: 0.1250 0.1889 0.0000 [4 per cell]
Tm: 0.2031 0.9404 0.5000 [4 per cell]
Fe: 0.0000 0.0000 0.0000 [2 per cell]
Bi: 0.0788 0.6696 0.5000 [4 per cell]